Theoretical powder diffractogram of Er2MoO6 for Cu Kα, 1.54184 Å, from a crystal structure in the Materials Project, relaxed with GGA+U.

Cell and atoms:
Cell lengths 9.886, 9.886, 5.357 Å; angles 105.07, 105.07, 67.93 degrees
Atoms (fractional coordinates):
Er 0.052 0.283 0.877
Er 0.106 0.894 0.750
Er 0.283 0.052 0.377
Er 0.363 0.637 0.250
Er 0.637 0.363 0.750
Er 0.717 0.948 0.623
Er 0.894 0.106 0.250
Er 0.948 0.717 0.123
Mo 0.204 0.487 0.561
Mo 0.487 0.204 0.061
Mo 0.513 0.796 0.939
Mo 0.796 0.513 0.439
O 0.067 0.476 0.253
O 0.072 0.110 0.078
O 0.110 0.072 0.578
O 0.163 0.694 0.418
O 0.174 0.616 0.875
O 0.211 0.314 0.637
O 0.306 0.837 0.082
O 0.314 0.211 0.137
O 0.384 0.826 0.625
O 0.391 0.451 0.514
O 0.451 0.391 0.014
O 0.476 0.067 0.753
O 0.524 0.933 0.247
O 0.549 0.609 0.986
O 0.609 0.549 0.486
O 0.616 0.174 0.375
O 0.686 0.789 0.863
O 0.694 0.163 0.918
O 0.789 0.686 0.363
O 0.826 0.384 0.125
O 0.837 0.306 0.582
O 0.890 0.928 0.422
O 0.928 0.890 0.922
O 0.933 0.524 0.747

Peak list (10 most intense, 10° ≤ 2θ ≤ 90°, in order of rising 2θ)
28.8 deg, d = 3.105 Å, I = 100
29.0 deg, d = 3.075 Å, I = 94
32.4 deg, d = 2.761 Å, I = 24
33.5 deg, d = 2.678 Å, I = 20
34.6 deg, d = 2.595 Å, I = 20
47.3 deg, d = 1.923 Å, I = 26
48.1 deg, d = 1.891 Å, I = 27
48.5 deg, d = 1.877 Å, I = 15
56.8 deg, d = 1.621 Å, I = 13
58.3 deg, d = 1.584 Å, I = 13

***

Theoretical powder diffractogram of ErSbMo2O9 for Cu Kα, 1.54184 Å, from a crystal structure in the Materials Project, relaxed with GGA+U.

Cell and atoms:
Cell lengths 9.655, 9.655, 10.793 Å; angles 111.97, 111.97, 95.20 degrees
Atoms (fractional coordinates):
Er 0.126 0.874 0.750
Er 0.329 0.671 0.250
Er 0.671 0.329 0.750
Er 0.874 0.126 0.250
Sb 0.348 0.383 0.466
Sb 0.383 0.348 0.966
Sb 0.617 0.652 0.034
Sb 0.652 0.617 0.534
Mo 0.046 0.259 0.026
Mo 0.058 0.434 0.694
Mo 0.259 0.046 0.526
Mo 0.434 0.058 0.194
Mo 0.566 0.942 0.806
Mo 0.741 0.954 0.474
Mo 0.942 0.566 0.306
Mo 0.954 0.741 0.974
O 0.022 0.695 0.499
O 0.042 0.221 0.175
O 0.067 0.094 0.898
O 0.093 0.555 0.249
O 0.094 0.067 0.398
O 0.132 0.702 0.069
O 0.147 0.622 0.729
O 0.209 0.362 0.798
O 0.221 0.042 0.675
O 0.222 0.406 0.080
O 0.298 0.868 0.431
O 0.305 0.978 0.001
O 0.362 0.209 0.298
O 0.378 0.853 0.771
O 0.406 0.222 0.580
O 0.423 0.541 0.398
O 0.445 0.907 0.251
O 0.459 0.577 0.102
O 0.541 0.423 0.898
O 0.555 0.093 0.749
O 0.577 0.459 0.602
O 0.594 0.778 0.420
O 0.622 0.147 0.229
O 0.638 0.791 0.702
O 0.695 0.022 0.999
O 0.702 0.132 0.569
O 0.778 0.594 0.920
O 0.779 0.958 0.325
O 0.791 0.638 0.202
O 0.853 0.378 0.271
O 0.868 0.298 0.931
O 0.906 0.933 0.602
O 0.907 0.445 0.751
O 0.933 0.906 0.102
O 0.958 0.779 0.825
O 0.978 0.305 0.501

Peak list (10 most intense, 10° ≤ 2θ ≤ 90°, in order of rising 2θ)
15.9 deg, d = 5.584 Å, I = 46
18.5 deg, d = 4.803 Å, I = 30
23.4 deg, d = 3.799 Å, I = 78
25.1 deg, d = 3.545 Å, I = 69
26.6 deg, d = 3.352 Å, I = 100
27.4 deg, d = 3.250 Å, I = 98
27.8 deg, d = 3.212 Å, I = 72
28.6 deg, d = 3.126 Å, I = 63
47.5 deg, d = 1.913 Å, I = 27
48.5 deg, d = 1.875 Å, I = 34